Entry 1:
This entry pairs a crystal structure of NaCd2BiF8 with its simulated XRD peak list. Radiation: λ = 1.5418 Å (Cu Kα). Structure: DFT lattice parameters and positions (PBE).

Crystal structure
```
data_NaCd2BiF8
_space_group_name_H-M_alt 'P m m m'
_space_group_IT_number 47
_space_group_name_Hall '-P 2 2'
_cell_length_a 3.956
_cell_length_b 5.567
_cell_length_c 7.860
_cell_angle_alpha 90.00
_cell_angle_beta 90.00
_cell_angle_gamma 90.00
loop_
_atom_site_label
_atom_site_fract_x
_atom_site_fract_y
_atom_site_fract_z
_atom_site_occupancy
Na1 0.000 0.000 0.000 1
Cd1 0.500 0.500 0.228 1
Bi1 0.000 0.000 0.500 1
F1 0.000 0.257 0.264 1
F2 0.500 0.247 0.500 1
F3 0.500 0.254 0.000 1
```

The 10 most intense peaks (10 to 80 degrees two-theta), low angle first:
d_spacing, 2θ/deg, I (rel.), index
7.860, 11.26, 44, 0 0 1
4.543, 19.54, 50, 0 1 1
3.534, 25.20, 29, 1 0 1
3.225, 27.66, 100, 1 1 0
3.210, 27.79, 98, 0 1 2
2.786, 32.12, 42, 0 2 0
1.978, 45.87, 22, 2 0 0
1.970, 46.08, 85, 1 2 2
1.684, 54.48, 30, 2 1 2
1.679, 54.68, 55, 1 3 0

***

Entry 2:
This entry pairs a crystal structure of AlTl3 with its simulated XRD peak list. Radiation: λ = 1.5418 Å (Cu Kα). Structure: DFT lattice parameters and positions (PBE).

Crystal structure
```
data_AlTl3
_space_group_name_H-M_alt 'P m -3 n'
_space_group_IT_number 223
_space_group_name_Hall '-P 4n 2 3'
_cell_length_a 6.100
_cell_length_b 6.100
_cell_length_c 6.100
_cell_angle_alpha 90.00
_cell_angle_beta 90.00
_cell_angle_gamma 90.00
loop_
_atom_site_label
_atom_site_fract_x
_atom_site_fract_y
_atom_site_fract_z
_atom_site_occupancy
Al1 0.000 0.000 0.000 1
Tl1 0.000 0.250 0.500 1
```

The 10 most intense peaks (10 to 80 degrees two-theta), low angle first:
d_spacing, 2θ/deg, I (rel.), index
4.313, 20.59, 29, 1 1 0
3.050, 29.28, 11, 2 0 0
2.728, 32.83, 100, 2 1 0
2.490, 36.07, 25, 2 1 1
1.929, 47.11, 7, 3 1 0
1.761, 51.93, 19, 2 2 2
1.692, 54.22, 25, 3 2 0
1.630, 56.44, 14, 3 2 1
1.525, 60.73, 11, 4 0 0
1.331, 70.78, 23, 4 2 1